Diffraction record for MgBe2Se3. The powder diffraction line list is simulated, not measured: it uses a structure optimized by DFT (PBE) and λ = 1.5418 Å (Cu Kα).
No peak broadening, texture or thermal motion is included.

Atomic structure:
```
data_MgBe2Se3
_chemical_formula_sum 'Mg4 Be8 Se12'
_cell_length_a 6.658
_cell_length_b 11.655
_cell_length_c 6.588
_cell_angle_alpha 90.00
_cell_angle_beta 108.43
_cell_angle_gamma 90.00
_symmetry_space_group_name_H-M 'C 1 c 1'
_symmetry_Int_Tables_number 9
loop_
_symmetry_equiv_pos_as_xyz
'x,y,z'
'x,-y,z+1/2'
'x+1/2,y+1/2,z'
'x+1/2,-y+1/2,z+1/2'
loop_
_atom_site_label
_atom_site_type_symbol
_atom_site_fract_x
_atom_site_fract_y
_atom_site_fract_z
Mg1 Mg 0.000 0.088 0.000
Be1 Be 0.002 0.417 0.994
Be2 Be 0.496 0.243 0.993
Se1 Se 0.354 0.398 0.095
Se2 Se 0.358 0.231 0.626
Se3 Se 0.407 0.080 0.130
```

Top 12 peaks for 2θ = 5–70°, in order of rising 2θ:
d_spacing, intensity
3.151, 100
3.125, 37
2.743, 29
2.686, 15
1.943, 9
1.936, 10
1.927, 19
1.911, 20
1.654, 15
1.650, 7
1.644, 8
1.626, 9

Diffraction record for MgBe2Si2. The powder diffraction line list is simulated, not measured: it uses a structure optimized by DFT (PBE) and λ = 1.5418 Å (Cu Kα).
No peak broadening, texture or thermal motion is included.

Atomic structure:
```
data_MgBe2Si2
_chemical_formula_sum 'Mg1 Be2 Si2'
_cell_length_a 3.763
_cell_length_b 3.934
_cell_length_c 5.799
_cell_angle_alpha 100.77
_cell_angle_beta 90.07
_cell_angle_gamma 118.56
_symmetry_space_group_name_H-M 'P 1'
_symmetry_Int_Tables_number 1
loop_
_symmetry_equiv_pos_as_xyz
'x,y,z'
loop_
_atom_site_label
_atom_site_type_symbol
_atom_site_fract_x
_atom_site_fract_y
_atom_site_fract_z
Mg1 Mg 0.000 0.000 0.000
Be1 Be 0.289 0.579 0.649
Be2 Be 0.397 0.794 0.315
Si1 Si 0.618 0.236 0.694
Si2 Si 0.721 0.442 0.323
```

Top 12 peaks for 2θ = 5–70°, in order of rising 2θ:
d_spacing, intensity
3.375, 28
3.287, 87
2.981, 40
2.723, 99
2.661, 73
2.442, 54
2.265, 100
1.940, 46
1.931, 50
1.889, 45
1.881, 50
1.536, 25

Diffraction record for MgBeSi2. The powder diffraction line list is simulated, not measured: it uses a structure optimized by DFT (PBE) and λ = 1.5418 Å (Cu Kα).
No peak broadening, texture or thermal motion is included.

Atomic structure:
```
data_MgBeSi2
_chemical_formula_sum 'Mg2 Be2 Si4'
_cell_length_a 5.297
_cell_length_b 5.658
_cell_length_c 5.673
_cell_angle_alpha 118.21
_cell_angle_beta 92.18
_cell_angle_gamma 116.46
_symmetry_space_group_name_H-M 'P 1'
_symmetry_Int_Tables_number 1
loop_
_symmetry_equiv_pos_as_xyz
'x,y,z'
loop_
_atom_site_label
_atom_site_type_symbol
_atom_site_fract_x
_atom_site_fract_y
_atom_site_fract_z
Mg1 Mg 0.000 0.000 0.000
Mg2 Mg 0.288 0.727 0.259
Be1 Be 0.465 0.385 0.762
Be2 Be 0.683 0.140 0.768
Si1 Si 0.350 0.736 0.788
Si2 Si 0.649 0.446 0.183
Si3 Si 0.819 0.396 0.537
Si4 Si 0.982 0.047 0.504
```

Top 12 peaks for 2θ = 5–70°, in order of rising 2θ:
d_spacing, intensity
3.944, 28
2.897, 19
2.834, 97
2.646, 65
2.498, 100
2.488, 79
2.439, 30
2.353, 21
2.339, 50
1.899, 53
1.870, 46
1.841, 38

Diffraction record for ThMgBe2Si2. The powder diffraction line list is simulated, not measured: it uses a structure optimized by DFT (PBE) and λ = 1.5418 Å (Cu Kα).
No peak broadening, texture or thermal motion is included.

Atomic structure:
```
data_ThMgBe2Si2
_chemical_formula_sum 'Th1 Mg1 Be2 Si2'
_cell_length_a 3.8958
_cell_length_b 3.8958
_cell_length_c 7.8418
_cell_angle_alpha 90.00
_cell_angle_beta 90.00
_cell_angle_gamma 120.00
_symmetry_space_group_name_H-M 'P -3 m 1'
_symmetry_Int_Tables_number 164
_symmetry_space_group_name_Hall '-P 3 2"'
loop_
_atom_site_label
_atom_site_type_symbol
_atom_site_fract_x
_atom_site_fract_y
_atom_site_fract_z
Th1 Th 0.0000 0.0000 0.0000
Mg1 Mg 0.0000 0.0000 0.5000
Be1 Be 0.3333 0.6667 0.7335
Si1 Si 0.3333 0.6667 0.2662
```

Top 12 peaks for 2θ = 5–70°, in order of rising 2θ:
d_spacing, intensity
7.842, 100
3.921, 19
3.374, 57
3.099, 85
2.557, 99
2.066, 25
1.948, 28
1.890, 19
1.695, 18
1.649, 14
1.550, 22
1.382, 18